Diffraction record for LuCu2S2. The X-ray powder pattern is simulated, not measured: it uses a structure optimized by DFT (GGA-PBE) and a wavelength of 1.5418 Å.
No peak broadening, texture or thermal motion is included.

Principal peaks in the range 2θ from 10° to 90°, in order of rising 2θ:
hkl 0 1 1, 2θ 29.95, intensity 100; hkl 1 0 2, 2θ 39.35, intensity 64; hkl 1 1 0, 2θ 46.16, intensity 44; hkl 2 0 1, 2θ 56.01, intensity 17; hkl 0 2 2, 2θ 62.23, intensity 16; hkl 1 1 3, 2θ 65.60, intensity 21

Atomic structure:
a b c (Å): 3.9328 3.9328 6.1861
angles (deg): 90.00 90.00 120.00
Space group P-3m1 (No. 164)
One atom of each set of equivalent atoms:
Lu: 0.0000 0.0000 0.0000
Cu: 0.3333 0.6667 0.3481
S: 0.3333 0.6667 0.7430